# 1
This entry pairs a crystal structure of AgTePbCl with its theoretical PXRD pattern. Radiation: Cu Kα (weighted mean of Kα1 and Kα2). Structure: DFT lattice parameters and positions (PBE).

Atomic structure:
Lattice parameters (Å, degrees): 4.5978 4.5978 10.1085 90.00 90.00 90.00
Sites, in units of the cell vectors:
Ag: 0.2500 0.7500 0.0000
Ag: 0.7500 0.2500 0.0000
Te: 0.2500 0.2500 0.1812
Te: 0.7500 0.7500 0.8188
Pb: 0.2500 0.2500 0.6868
Pb: 0.7500 0.7500 0.3132
Cl: 0.2500 0.7500 0.5000
Cl: 0.7500 0.2500 0.5000

Principal peaks in the range 10 to 90 degrees two-theta, in order of rising 2θ:
2θ = 26.2°, d = 3.401 Å, I = 73; 2θ = 27.4°, d = 3.251 Å, I = 18; 2θ = 32.8°, d = 2.734 Å, I = 100; 2θ = 39.2°, d = 2.299 Å, I = 50; 2θ = 40.7°, d = 2.215 Å, I = 43; 2θ = 47.8°, d = 1.905 Å, I = 29; 2θ = 56.6°, d = 1.626 Å, I = 17; 2θ = 57.8°, d = 1.595 Å, I = 31; 2θ = 67.0°, d = 1.397 Å, I = 24; 2θ = 69.1°, d = 1.359 Å, I = 13

=====

# 2
This entry pairs a crystal structure of MnIn2Cu with its theoretical PXRD pattern. Radiation: Cu Kα (weighted mean of Kα1 and Kα2). Structure: DFT lattice parameters and positions (PBE).

Atomic structure:
Lattice parameters (Å, degrees): 4.7298 4.7298 3.1598 90.00 90.00 96.46
Sites, in units of the cell vectors:
Mn: 0.0000 0.0000 0.0000
In: 0.0000 0.5000 0.5000
In: 0.5000 0.0000 0.5000
Cu: 0.5000 0.5000 0.0000

Principal peaks in the range 10 to 90 degrees two-theta, in order of rising 2θ:
2θ = 28.3°, d = 3.155 Å, I = 10; 2θ = 38.3°, d = 2.352 Å, I = 100; 2θ = 40.4°, d = 2.231 Å, I = 43; 2θ = 51.8°, d = 1.764 Å, I = 10; 2θ = 58.4°, d = 1.580 Å, I = 7; 2θ = 58.6°, d = 1.575 Å, I = 7; 2θ = 67.7°, d = 1.384 Å, I = 17; 2θ = 72.0°, d = 1.311 Å, I = 14; 2θ = 72.2°, d = 1.309 Å, I = 14; 2θ = 88.8°, d = 1.102 Å, I = 9

=====

# 3
This entry pairs a crystal structure of MgAg2Cl with its theoretical PXRD pattern. Radiation: Cu Kα (weighted mean of Kα1 and Kα2). Structure: DFT lattice parameters and positions (PBE).

Atomic structure:
Lattice parameters (Å, degrees): 6.2482 6.2482 6.2482 101.25 101.25 127.59
Sites, in units of the cell vectors:
Mg: 0.0000 0.0000 0.0000
Mg: 0.7500 0.2500 0.5000
Ag: 0.1308 0.1250 0.5058
Ag: 0.3750 0.8692 0.9942
Ag: 0.6192 0.6250 0.4942
Ag: 0.8750 0.3808 0.0058
Cl: 0.2500 0.7500 0.5000
Cl: 0.5000 0.5000 0.0000

Principal peaks in the range 10 to 90 degrees two-theta, in order of rising 2θ:
2θ = 22.4°, d = 3.964 Å, I = 77; 2θ = 31.9°, d = 2.803 Å, I = 100; 2θ = 36.3°, d = 2.476 Å, I = 93; 2θ = 45.8°, d = 1.982 Å, I = 35; 2θ = 49.1°, d = 1.856 Å, I = 75; 2θ = 51.6°, d = 1.773 Å, I = 16; 2θ = 59.8°, d = 1.547 Å, I = 20; 2θ = 69.4°, d = 1.355 Å, I = 25; 2θ = 72.5°, d = 1.303 Å, I = 17; 2θ = 78.4°, d = 1.220 Å, I = 18

=====

# 4
This entry pairs a crystal structure of KInPbBr4 with its theoretical PXRD pattern. Radiation: Cu Kα (weighted mean of Kα1 and Kα2). Structure: DFT lattice parameters and positions (PBE).

Atomic structure:
Lattice parameters (Å, degrees): 9.3750 9.3750 9.3750 143.12 143.12 53.14
Sites, in units of the cell vectors:
K: 0.0000 0.0000 0.0000
In: 0.7231 0.7231 0.0000
Pb: 0.3668 0.3668 0.0000
Br: 0.1938 0.1938 0.0000
Br: 0.3863 0.8863 0.5000
Br: 0.5558 0.5558 0.0000
Br: 0.8863 0.3863 0.5000

Principal peaks in the range 10 to 90 degrees two-theta, in order of rising 2θ:
2θ = 10.6°, d = 8.385 Å, I = 57; 2θ = 15.9°, d = 5.591 Å, I = 60; 2θ = 21.2°, d = 4.193 Å, I = 72; 2θ = 21.8°, d = 4.068 Å, I = 30; 2θ = 30.1°, d = 2.965 Å, I = 100; 2θ = 30.6°, d = 2.919 Å, I = 55; 2θ = 32.0°, d = 2.795 Å, I = 47; 2θ = 43.1°, d = 2.097 Å, I = 37; 2θ = 43.5°, d = 2.080 Å, I = 42; 2θ = 44.5°, d = 2.034 Å, I = 53

=====

# 5
This entry pairs a crystal structure of PmSmSiGe with its theoretical PXRD pattern. Radiation: Cu Kα (weighted mean of Kα1 and Kα2). Structure: DFT lattice parameters and positions (PBE).

Atomic structure:
Lattice parameters (Å, degrees): 3.9781 5.8852 5.8852 44.16 90.00 90.00
Sites, in units of the cell vectors:
Pm: 0.0000 0.0000 0.0000
Sm: 0.5000 0.7216 0.7216
Si: 0.0000 0.2814 0.2814
Ge: 0.5000 0.4373 0.4373

Principal peaks in the range 10 to 90 degrees two-theta, in order of rising 2θ:
2θ = 21.7°, d = 4.100 Å, I = 16; 2θ = 27.8°, d = 3.214 Å, I = 37; 2θ = 31.3°, d = 2.855 Å, I = 100; 2θ = 31.9°, d = 2.809 Å, I = 46; 2θ = 32.8°, d = 2.727 Å, I = 29; 2θ = 39.3°, d = 2.295 Å, I = 43; 2θ = 40.8°, d = 2.212 Å, I = 25; 2θ = 45.6°, d = 1.989 Å, I = 18; 2θ = 50.1°, d = 1.822 Å, I = 15; 2θ = 56.7°, d = 1.623 Å, I = 18

=====

# 6
This entry pairs a crystal structure of Na3Ga2Pt2 with its theoretical PXRD pattern. Radiation: Cu Kα (weighted mean of Kα1 and Kα2). Structure: DFT lattice parameters and positions (PBE).

Atomic structure:
Lattice parameters (Å, degrees): 5.8801 7.9812 13.5011 90.00 90.00 90.00
Sites, in units of the cell vectors:
Na: 0.1248 0.1166 0.0976
Na: 0.1248 0.1166 0.4024
Na: 0.1248 0.3834 0.5976
Na: 0.1248 0.3834 0.9024
Na: 0.3489 0.7197 0.7500
Na: 0.3489 0.7803 0.2500
Na: 0.6511 0.2197 0.7500
Na: 0.6511 0.2803 0.2500
Na: 0.8752 0.6166 0.0976
Na: 0.8752 0.6166 0.4024
Na: 0.8752 0.8834 0.5976
Na: 0.8752 0.8834 0.9024
Ga: 0.1995 0.0718 0.7500
Ga: 0.1995 0.4282 0.2500
Ga: 0.4189 0.7500 0.0000
Ga: 0.4189 0.7500 0.5000
Ga: 0.5811 0.2500 0.0000
Ga: 0.5811 0.2500 0.5000
Ga: 0.8005 0.5718 0.7500
Ga: 0.8005 0.9282 0.2500
Pt: 0.3623 0.0213 0.5884
Pt: 0.3623 0.0213 0.9116
Pt: 0.3623 0.4787 0.0884
Pt: 0.3623 0.4787 0.4116
Pt: 0.6377 0.5213 0.5884
Pt: 0.6377 0.5213 0.9116
Pt: 0.6377 0.9787 0.0884
Pt: 0.6377 0.9787 0.4116

Principal peaks in the range 10 to 90 degrees two-theta, in order of rising 2θ:
2θ = 13.1°, d = 6.751 Å, I = 42; 2θ = 15.1°, d = 5.880 Å, I = 86; 2θ = 19.9°, d = 4.467 Å, I = 99; 2θ = 20.0°, d = 4.434 Å, I = 37; 2θ = 22.3°, d = 3.991 Å, I = 51; 2θ = 27.3°, d = 3.262 Å, I = 48; 2θ = 38.1°, d = 2.360 Å, I = 27; 2θ = 38.3°, d = 2.352 Å, I = 100; 2θ = 42.3°, d = 2.134 Å, I = 30; 2θ = 46.3°, d = 1.960 Å, I = 35

=====

# 7
This entry pairs a crystal structure of RbYSb2Pd with its theoretical PXRD pattern. Radiation: Cu Kα (weighted mean of Kα1 and Kα2). Structure: DFT lattice parameters and positions (PBE).

Atomic structure:
Lattice parameters (Å, degrees): 5.8714 5.8714 5.3598 90.00 90.00 90.00
Sites, in units of the cell vectors:
Rb: 0.0000 0.0000 0.0000
Y: 0.0000 0.0000 0.5000
Sb: 0.0000 0.5000 0.0000
Sb: 0.5000 0.0000 0.0000
Pd: 0.5000 0.5000 0.5000

Principal peaks in the range 10 to 90 degrees two-theta, in order of rising 2θ:
2θ = 27.2°, d = 3.282 Å, I = 100; 2θ = 30.4°, d = 2.936 Å, I = 82; 2θ = 33.4°, d = 2.680 Å, I = 32; 2θ = 43.6°, d = 2.076 Å, I = 30; 2θ = 45.8°, d = 1.979 Å, I = 52; 2θ = 52.1°, d = 1.754 Å, I = 32; 2θ = 56.0°, d = 1.641 Å, I = 41; 2θ = 73.6°, d = 1.287 Å, I = 24; 2θ = 81.7°, d = 1.179 Å, I = 19; 2θ = 86.4°, d = 1.126 Å, I = 16